Starting from a cell relaxed with GGA+U, the X-ray diffraction stick pattern of KVH4O7 was computed for Cu Ka.
Intensities are scaled so that the largest is 100.

The 10 most intense peaks (10 to 90 degrees two-theta), sorted by position:
2theta, intensity, h k l
12.67, 100, 0 1 0
13.12, 58, 0 0 1
14.72, 72, 1 0 0
15.45, 44, 1 0 1
19.68, 44, 1 1 0
21.31, 26, 0 1 -1
22.66, 51, 1 -1 1
24.12, 33, -1 1 1
24.90, 37, 0 1 2
28.31, 30, 1 2 2

Lattice parameters (Å, degrees): 6.591 7.546 7.916 67.83 65.79 82.09
Sites, in units of the cell vectors:
K 0.000 0.000 0.000
K 0.187 0.451 0.429
V 0.523 0.250 0.877
V 0.678 0.039 0.572
H 0.098 0.527 0.069
H 0.135 0.844 0.539
H 0.353 0.889 0.335
H 0.437 0.782 0.580
H 0.578 0.716 0.036
H 0.624 0.659 0.669
H 0.649 0.510 0.034
H 0.849 0.585 0.156
O 0.000 0.603 0.149
O 0.281 0.793 0.470
O 0.289 0.355 0.965
O 0.378 0.126 0.628
O 0.446 0.986 0.958
O 0.519 0.271 0.611
O 0.533 0.020 0.087
O 0.539 0.783 0.649
O 0.595 0.587 0.122
O 0.743 0.454 0.699
O 0.751 0.363 0.896
O 0.803 0.094 0.332
O 0.880 0.896 0.690
O 0.882 0.100 0.656